Starting from a PBE-relaxed structure, the XRD peak list of PmGa2SiPt5 was computed for a wavelength of 1.5418 Å.
Kinematic intensities with the Lorentz-polarization factor, no thermal factor.

Cell and atoms:
```
data_PmGa2SiPt5
_chemical_formula_sum 'Pm1 Ga2 Si1 Pt5'
_cell_length_a 7.581
_cell_length_b 7.581
_cell_length_c 7.581
_cell_angle_alpha 144.92
_cell_angle_beta 136.48
_cell_angle_gamma 57.08
_symmetry_space_group_name_H-M 'P 1'
_symmetry_Int_Tables_number 1
loop_
_symmetry_equiv_pos_as_xyz
'x,y,z'
loop_
_atom_site_label
_atom_site_type_symbol
_atom_site_fract_x
_atom_site_fract_y
_atom_site_fract_z
Pm1 Pm 0.000 0.000 0.000
Ga1 Ga 0.306 0.806 0.500
Ga2 Ga 0.694 0.194 0.500
Si1 Si 0.500 0.500 0.000
Pt1 Pt 0.099 0.353 0.746
Pt2 Pt 0.393 0.647 0.746
Pt3 Pt 0.500 0.000 0.500
Pt4 Pt 0.607 0.353 0.254
Pt5 Pt 0.901 0.647 0.254
```

Principal peaks in the range 2θ = 10–90°, low angle first:
two_theta  intensity
28.0  100
34.6  16
38.2  75
39.4  42
40.6  24
42.1  46
42.9  23
57.9  17
59.0  34
62.3  26